Structure and computed PXRD pattern of Bi13Pb3Cl7O19 (a GGA-PBE-relaxed structure; CuKα).

Most intense lines, 2θ = 10–90°, by intensity:
| d_spacing | Position (°2θ) | I/Imax | hkl |
| --- | --- | --- | --- |
| 3.008 | 29.70 | 100.0 | 3 1 2 |
| 2.834 | 31.56 | 84.1 | 7 1 -3 |
| 3.100 | 28.80 | 51.3 | 4 0 -5 |
| 2.888 | 30.97 | 46.4 | 10 0 -1 |
| 7.911 | 11.18 | 30.1 | 2 0 1 |
| 3.759 | 23.67 | 28.7 | 1 1 1 |

Cell and atoms:
abc: 30.2115 4.0316 15.5305
angles: 90.00 117.79 90.00
Space group Cm (No. 8)
Symmetry-distinct sites (fractional):
Bi1 0.0000 0.0000 0.0000 x2
Bi2 0.0223 0.0000 0.3947 x2
Bi3 0.0550 0.5000 0.6529 x2
Bi4 0.0884 0.0000 0.8749 x2
Bi5 0.1153 0.0000 0.2730 x2
Bi6 0.1388 0.5000 0.4940 x2
Bi7 0.2061 0.0000 0.1516 x2
Bi8 0.2324 0.5000 0.3744 x2
Bi9 0.2940 0.0000 0.0175 x2
Bi10 0.3220 0.5000 0.2453 x2
Bi11 0.3482 0.5000 0.6434 x2
Bi12 0.4122 0.5000 0.1190 x2
Bi13 0.4394 0.5000 0.5265 x2
Pb1 0.2555 0.5000 0.7639 x2
Pb2 0.3762 0.0000 0.8721 x2
Pb3 0.4698 0.0000 0.7631 x2
Cl1 0.0190 0.5000 0.2061 x2
Cl2 0.1140 0.5000 0.1060 x2
Cl3 0.1483 0.0000 0.6443 x2
Cl4 0.2047 0.5000 0.9965 x2
Cl5 0.2364 0.0000 0.5372 x2
Cl6 0.3250 0.0000 0.4271 x2
Cl7 0.4186 0.0000 0.3144 x2
O1 0.0124 0.0000 0.5183 x2
O2 0.0189 0.0000 0.8795 x2
O3 0.0485 0.0000 0.7132 x2
O4 0.0596 0.5000 0.4514 x2
O5 0.0749 0.5000 0.8150 x2
O6 0.1088 0.0000 0.4104 x2
O7 0.1507 0.5000 0.3466 x2
O8 0.1976 0.0000 0.2958 x2
O9 0.2403 0.5000 0.2329 x2
O10 0.2782 0.0000 0.8623 x2
O11 0.2864 0.0000 0.1853 x2
O12 0.3272 0.5000 0.1048 x2
O13 0.3295 0.5000 0.7662 x2
O14 0.3751 0.0000 0.0624 x2
O15 0.3767 0.0000 0.7100 x2
O16 0.4233 0.5000 0.6496 x2
O17 0.4238 0.5000 0.9966 x2
O18 0.4708 0.0000 0.9348 x2
O19 0.4722 0.0000 0.5872 x2


Structure and computed PXRD pattern of CaF2 (a GGA-PBE-relaxed structure; CuKα).

Most intense lines, 2θ = 10–90°, by intensity:
| d_spacing | Position (°2θ) | I/Imax | hkl |
| --- | --- | --- | --- |
| 1.950 | 46.57 | 100.0 | 2 2 0 |
| 3.185 | 28.02 | 83.7 | 1 1 1 |
| 1.663 | 55.23 | 31.7 | 3 1 1 |
| 1.126 | 86.42 | 23.7 | 4 2 2 |
| 1.379 | 67.98 | 12.9 | 4 0 0 |
| 1.265 | 75.06 | 11.6 | 3 3 1 |

Cell and atoms:
abc: 5.5161 5.5161 5.5161
angles: 90.00 90.00 90.00
Space group Fm-3m (No. 225)
Symmetry-distinct sites (fractional):
Ca1 0.0000 0.0000 0.0000 x4
F1 0.2500 0.2500 0.2500 x8


Structure and computed PXRD pattern of RbLaF4 (a GGA-PBE-relaxed structure; CuKα).

Most intense lines, 2θ = 10–90°, by intensity:
| d_spacing | Position (°2θ) | I/Imax | hkl |
| --- | --- | --- | --- |
| 3.270 | 27.27 | 100.0 | 2 0 0 |
| 3.476 | 25.63 | 80.1 | 1 0 4 |
| 1.921 | 47.32 | 54.8 | 3 0 4 |
| 2.274 | 39.64 | 50.7 | 2 1 3 |
| 3.170 | 28.15 | 37.3 | 0 1 3 |
| 1.886 | 48.25 | 21.3 | 3 1 1 |

Cell and atoms:
abc: 6.5265 3.8883 16.4254
angles: 90.00 90.00 90.00
Space group Pnma (No. 62)
Symmetry-distinct sites (fractional):
Rb1 0.2244 0.2500 0.2004 x4
La1 0.2484 0.7500 0.4416 x4
F1 0.0011 0.7500 0.9448 x4
F2 0.0955 0.2500 0.8126 x4
F3 0.1109 0.2500 0.3702 x4
F4 0.1311 0.2500 0.5360 x4


Structure and computed PXRD pattern of Tl2V9CrS16 (a GGA-PBE-relaxed structure; CuKα).

Most intense lines, 2θ = 10–90°, by intensity:
| d_spacing | Position (°2θ) | I/Imax | hkl |
| --- | --- | --- | --- |
| 2.479 | 36.23 | 100.0 | 2 1 1 |
| 2.110 | 42.86 | 96.9 | 3 1 0 |
| 2.573 | 34.87 | 94.8 | 1 1 -4 |
| 4.219 | 21.06 | 89.2 | 1 0 3 |
| 4.140 | 21.47 | 75.8 | 2 0 -2 |
| 2.661 | 33.69 | 47.2 | 2 0 4 |

Cell and atoms:
abc: 8.5503 3.2602 17.3920
angles: 90.00 103.78 90.00
Space group P2/m (No. 10)
Symmetry-distinct sites (fractional):
Tl1 0.0000 0.0000 0.0000 x1
Tl2 0.5000 0.5000 0.5000 x1
V1 0.0000 0.0000 0.5000 x1
V2 0.1485 0.5000 0.2887 x2
V3 0.1528 0.5000 0.6479 x2
V4 0.3495 0.0000 0.8535 x2
V5 0.3511 0.0000 0.2114 x2
Cr1 0.5000 0.5000 0.0000 x1
S1 0.0808 0.0000 0.7410 x2
S2 0.1042 0.5000 0.4256 x2
S3 0.1605 0.5000 0.1595 x2
S4 0.2365 0.5000 0.9162 x2
S5 0.2667 0.0000 0.5851 x2
S6 0.3403 0.0000 0.3400 x2
S7 0.3969 0.0000 0.0722 x2
S8 0.4198 0.5000 0.7599 x2